1.
Theoretical XRD peak list
Compound: Gd2Sn2O5
Radiation: Cu Ka
Structure: a DFT-relaxed cell (GGA-PBE, OQMD)

Main lines, sorted by position (10 to 90 degrees two-theta):
- 2θ 30.16, I 1000
- 2θ 33.70, I 330
- 2θ 37.38, I 125
- 2θ 48.40, I 188
- 2θ 51.20, I 313
- 2θ 58.09, I 325
- 2θ 62.70, I 117
- 2θ 63.01, I 126
- 2θ 78.90, I 69
- 2θ 83.23, I 120

Cell and atoms:
```
9
Lattice="3.7615 0.0000 0.0000 0.0000 3.7615 0.0000 0.0000 0.0000 9.6227" Properties=species:S:1:pos:R:3 pbc="T T T"
Gd 0.0000 0.0000 2.3570
Gd 0.0000 0.0000 7.2657
Sn 1.8807 1.8807 0.0000
Sn 1.8807 1.8807 4.8114
O 0.0000 0.0000 0.0000
O 0.0000 1.8807 3.5455
O 0.0000 1.8807 6.0773
O 1.8807 0.0000 3.5455
O 1.8807 0.0000 6.0773
```

---

2.
Theoretical XRD peak list
Compound: SrGdO3
Radiation: Cu Ka
Structure: a DFT-relaxed cell (GGA-PBE, OQMD)

Main lines, sorted by position (10 to 90 degrees two-theta):
- 2θ 16.82, I 149
- 2θ 20.36, I 202
- 2θ 28.30, I 1000
- 2θ 29.60, I 987
- 2θ 34.23, I 171
- 2θ 41.41, I 435
- 2θ 45.70, I 332
- 2θ 51.72, I 434
- 2θ 52.51, I 301
- 2θ 68.99, I 155

Cell and atoms:
```
10
Lattice="3.0184 1.7427 5.2719 -3.0184 1.7427 5.2719 0.0000 -3.4853 5.2719" Properties=species:S:1:pos:R:3 pbc="T T T"
Sr 0.0000 0.0000 2.1353
Sr 0.0000 0.0000 13.6805
Gd 0.0000 0.0000 5.5928
Gd 0.0000 0.0000 10.2230
O -1.3058 -1.5953 6.5134
O -2.0344 0.3332 9.3024
O -0.7286 1.9285 6.5134
O 0.7286 -1.9285 9.3024
O 2.0345 -0.3332 6.5134
O 1.3058 1.5953 9.3024
```

---

3.
Theoretical XRD peak list
Compound: Tb2GdO3
Radiation: Cu Ka
Structure: a DFT-relaxed cell (GGA-PBE, OQMD)

Main lines, sorted by position (10 to 90 degrees two-theta):
- 2θ 32.08, I 1000
- 2θ 37.22, I 775
- 2θ 53.65, I 528
- 2θ 63.90, I 443
- 2θ 67.10, I 176
- 2θ 79.31, I 82
- 2θ 88.12, I 196

Cell and atoms:
```
6
Lattice="3.4163 0.0000 0.0000 -1.7082 2.9586 0.0000 0.0000 0.0000 8.3717" Properties=species:S:1:pos:R:3 pbc="T T T"
Tb 0.0000 1.9724 1.3963
Tb 1.7082 0.9862 6.9754
Gd 0.0000 0.0000 4.1858
O 0.0000 0.0000 0.0000
O 0.0000 1.9724 5.6004
O 1.7082 0.9862 2.7712
```